No. 1
This entry pairs a crystal structure of LaCeB12 with its computed powder X-ray diffraction pattern. Radiation: a wavelength of 1.5418 Å. Structure: a structure optimized by DFT (GGA-PBE).

Principal peaks in the range 2θ = 10–80°, sorted by position:
2theta, I/Imax
21.43, 64
30.49, 100
37.57, 42
43.65, 22
49.13, 49
54.18, 27
63.45, 10
67.80, 28
72.01, 20
76.13, 13

Cell and atoms:
```
LaCeB12
1.0
4.146 0.000 0.000
0.000 4.146 0.000
0.000 0.000 8.296
La Ce B
1 1 12
direct
0.000 0.000 0.000
0.000 0.000 0.500
0.199 0.500 0.251
0.199 0.500 0.749
0.500 0.199 0.251
0.500 0.199 0.749
0.500 0.500 0.100
0.500 0.500 0.401
0.500 0.500 0.599
0.500 0.500 0.900
0.500 0.801 0.251
0.500 0.801 0.749
0.801 0.500 0.251
0.801 0.500 0.749
```

No. 2
This entry pairs a crystal structure of Nd2Si3Rh with its computed powder X-ray diffraction pattern. Radiation: a wavelength of 1.5418 Å. Structure: a structure optimized by DFT (GGA-PBE).

Principal peaks in the range 2θ = 10–80°, sorted by position:
2theta, I/Imax
21.47, 6
24.84, 26
32.96, 100
43.42, 11
43.74, 37
50.67, 8
55.84, 22
63.34, 22
73.04, 9
73.51, 19

Cell and atoms:
```
Nd2Si3Rh
1.0
8.278 0.000 0.000
-4.139 7.169 0.000
0.000 0.000 8.336
Nd Si Rh
8 12 4
direct
0.000 0.000 0.250
0.000 0.000 0.750
0.011 0.505 0.250
0.495 0.505 0.250
0.495 0.989 0.250
0.505 0.011 0.750
0.505 0.495 0.750
0.989 0.495 0.750
0.167 0.334 0.002
0.167 0.334 0.498
0.167 0.833 0.002
0.167 0.833 0.498
0.334 0.167 0.502
0.334 0.167 0.998
0.666 0.833 0.002
0.666 0.833 0.498
0.833 0.167 0.502
0.833 0.167 0.998
0.833 0.666 0.502
0.833 0.666 0.998
0.333 0.667 0.524
0.333 0.667 0.976
0.667 0.333 0.024
0.667 0.333 0.476
```

No. 3
This entry pairs a crystal structure of CsMg6Bi with its computed powder X-ray diffraction pattern. Radiation: a wavelength of 1.5418 Å. Structure: a structure optimized by DFT (GGA-PBE).

Principal peaks in the range 2θ = 10–80°, sorted by position:
2theta, I/Imax
14.16, 68
16.67, 53
21.95, 69
28.55, 24
28.82, 44
30.17, 26
33.24, 49
33.48, 100
33.70, 29
44.92, 26

Cell and atoms:
```
CsMg6Bi
1.0
5.319 0.000 0.000
0.000 3.566 6.253
0.000 -3.566 6.253
Cs Mg Bi
1 6 1
direct
0.000 0.000 0.000
0.000 0.004 0.496
0.000 0.496 0.004
0.500 0.177 0.633
0.500 0.185 0.185
0.500 0.633 0.177
0.500 0.672 0.672
0.000 0.496 0.496
```

No. 4
This entry pairs a crystal structure of Mg16Si8HO32 with its computed powder X-ray diffraction pattern. Radiation: a wavelength of 1.5418 Å. Structure: a structure optimized by DFT (GGA-PBE).

Principal peaks in the range 2θ = 10–80°, sorted by position:
2theta, I/Imax
27.34, 36
32.92, 46
33.63, 52
35.64, 32
36.16, 85
40.32, 29
43.11, 33
44.12, 75
63.38, 100
64.34, 28

Cell and atoms:
```
Mg16Si8HO32
1.0
5.791 0.000 0.000
0.000 11.642 0.000
0.000 0.000 8.394
Mg Si H O
16 8 1 32
direct
0.000 0.000 0.000
0.000 0.251 0.025
0.000 0.500 0.060
0.000 0.749 0.025
0.239 0.131 0.282
0.239 0.869 0.282
0.250 0.379 0.779
0.250 0.621 0.779
0.500 0.000 0.574
0.500 0.251 0.531
0.500 0.500 0.499
0.500 0.749 0.531
0.750 0.379 0.779
0.750 0.621 0.779
0.761 0.131 0.282
0.761 0.869 0.282
0.000 0.130 0.644
0.000 0.371 0.415
0.000 0.629 0.415
0.000 0.870 0.644
0.500 0.132 0.914
0.500 0.370 0.146
0.500 0.630 0.146
0.500 0.868 0.914
0.500 0.000 0.170
0.000 0.000 0.248
0.000 0.000 0.743
0.000 0.239 0.771
0.000 0.262 0.285
0.000 0.500 0.315
0.000 0.500 0.814
0.000 0.738 0.285
0.000 0.761 0.771
0.239 0.373 0.523
0.239 0.627 0.523
0.241 0.125 0.533
0.241 0.875 0.533
0.261 0.372 0.037
0.261 0.628 0.037
0.262 0.127 0.025
0.262 0.873 0.025
0.500 0.000 0.288
0.500 0.000 0.817
0.500 0.240 0.785
0.500 0.260 0.274
0.500 0.500 0.245
0.500 0.500 0.745
0.500 0.740 0.274
0.500 0.760 0.785
0.738 0.127 0.025
0.738 0.873 0.025
0.739 0.372 0.037
0.739 0.628 0.037
0.759 0.125 0.533
0.759 0.875 0.533
0.761 0.373 0.523
0.761 0.627 0.523
```